Starting from the GGA-PBE geometry in the Materials Project, the X-ray powder pattern of Hg2SNCl3O3 was simulated for copper Kα.

Structural model:
```
data_Hg2SNCl3O3
_cell_length_a 6.420
_cell_length_b 23.536
_cell_length_c 7.356
_cell_angle_alpha 90.00
_cell_angle_beta 90.00
_cell_angle_gamma 90.00
_space_group_name_H-M_alt 'C m c 21'
_space_group_IT_number 36
loop_
_space_group_symop_operation_xyz
'x,y,z'
'-x,-y,z+1/2'
'-x,y,z'
'x,-y,z+1/2'
'x+1/2,y+1/2,z'
'-x+1/2,-y+1/2,z+1/2'
'-x+1/2,y+1/2,z'
'x+1/2,-y+1/2,z+1/2'
loop_
_atom_site_label
_atom_site_type_symbol
_atom_site_fract_x
_atom_site_fract_y
_atom_site_fract_z
_atom_site_occupancy
Hg1 Hg 0.000 0.057 0.000 1
Hg2 Hg 0.000 0.402 0.127 1
S1 S 0.000 0.169 0.929 1
N1 N 0.000 0.238 0.491 1
Cl1 Cl 0.000 0.045 0.565 1
Cl2 Cl 0.000 0.350 0.864 1
Cl3 Cl 0.000 0.458 0.392 1
O1 O 0.000 0.192 0.110 1
O2 O 0.194 0.167 0.827 1
```

Principal peaks in the range 2θ = 10–90°, sorted by position:
(hkl)  d [Å]  2θ (°)  I_rel
0 2 1  6.237  14.20  37
1 1 1  4.738  18.73  54
1 3 1  4.117  21.58  100
1 5 0  3.796  23.44  18
0 6 1  3.461  25.74  23
2 0 0  3.210  27.79  44
1 1 2  3.162  28.22  32
1 9 0  2.420  37.15  32
2 6 1  2.354  38.24  18
1 5 3  2.059  43.97  16
2 2 3  1.922  47.29  17
1 1 4  1.763  51.87  16